[1]
Diffraction record for Pr2ReB5Os2. The PXRD pattern is theoretical, not measured: it uses a cell relaxed with GGA-PBE and Cu Kα X-rays.
Neutral-atom scattering factors, no anomalous dispersion.

Top 10 peaks for 2θ = 10–90°, in order of rising 2θ:
| 2theta | I/Imax |
| --- | --- |
| 16.59 | 18 |
| 30.30 | 100 |
| 33.23 | 53 |
| 33.50 | 37 |
| 34.55 | 65 |
| 34.89 | 35 |
| 40.64 | 28 |
| 42.60 | 21 |
| 50.11 | 18 |
| 54.80 | 24 |

Structural model:
Lattice parameters (Å, degrees): 5.749 5.749 8.120 122.60 122.60 41.79
Positions (direct):
Pr: 0.164 0.164 0.258
Pr: 0.836 0.836 0.742
Re: 0.777 0.223 0.500
B: 0.142 0.145 0.812
B: 0.246 0.703 0.380
B: 0.297 0.754 0.620
B: 0.503 0.497 0.000
B: 0.855 0.858 0.188
Os: 0.379 0.356 0.096
Os: 0.644 0.621 0.904

---

[2]
Diffraction record for AsH6IrPb. The PXRD pattern is theoretical, not measured: it uses a cell relaxed with GGA-PBE and Cu Kα X-rays.
Neutral-atom scattering factors, no anomalous dispersion.

Top 10 peaks for 2θ = 10–90°, in order of rising 2θ:
| 2theta | I/Imax |
| --- | --- |
| 22.57 | 54 |
| 26.12 | 2 |
| 37.28 | 100 |
| 44.02 | 31 |
| 53.74 | 18 |
| 59.01 | 13 |
| 67.22 | 36 |
| 71.91 | 10 |
| 79.46 | 11 |
| 83.90 | 10 |

Structural model:
Lattice parameters (Å, degrees): 4.824 4.824 4.824 60.00 60.00 60.00
Positions (direct):
As: 0.000 0.000 0.000
H: 0.611 0.611 0.889
H: 0.611 0.889 0.611
H: 0.611 0.889 0.889
H: 0.889 0.611 0.611
H: 0.889 0.611 0.889
H: 0.889 0.889 0.611
Ir: 0.500 0.500 0.500
Pb: 0.250 0.250 0.250

---

[3]
Diffraction record for Nd2Sm2Se3O4. The PXRD pattern is theoretical, not measured: it uses a cell relaxed with GGA-PBE and Cu Kα X-rays.
Neutral-atom scattering factors, no anomalous dispersion.

Top 10 peaks for 2θ = 10–90°, in order of rising 2θ:
| 2theta | I/Imax |
| --- | --- |
| 25.29 | 56 |
| 30.76 | 100 |
| 31.73 | 56 |
| 35.21 | 29 |
| 42.36 | 15 |
| 45.70 | 20 |
| 47.43 | 23 |
| 52.94 | 15 |
| 53.69 | 23 |
| 59.84 | 15 |

Structural model:
Lattice parameters (Å, degrees): 8.432 6.702 6.702 34.47 90.00 90.00
Positions (direct):
Nd: 0.237 0.000 0.000
Nd: 0.763 0.000 0.000
Sm: 0.000 0.317 0.317
Sm: 0.500 0.334 0.334
Se: 0.000 0.630 0.630
Se: 0.351 0.673 0.673
Se: 0.649 0.673 0.673
O: 0.000 0.903 0.903
O: 0.244 0.402 0.402
O: 0.500 0.931 0.931
O: 0.756 0.402 0.402